No. 1
Computed PXRD pattern
Compound: HgH8C2Br3N
Radiation: copper Kα
Structure: a crystal structure in Alexandria, relaxed with GGA-PBE

Peak list (6 most intense, 2θ from 10° to 90°, by angle)
two_theta  d_spacing  I/Imax
12.32  7.182  100
13.88  6.379  51
16.01  5.536  94
20.96  4.239  50
24.79  3.591  48
27.52  3.241  91

Structural model:
a b c (Å): 7.252 6.482 10.749
angles (deg): 90.00 98.00 90.00
Fractional positions:
Hg 0.090 0.250 0.135
Hg 0.910 0.750 0.865
H 0.255 0.250 0.826
H 0.273 0.113 0.621
H 0.273 0.387 0.621
H 0.375 0.613 0.368
H 0.375 0.887 0.368
H 0.455 0.119 0.828
H 0.455 0.381 0.828
H 0.483 0.750 0.502
H 0.517 0.250 0.498
H 0.545 0.619 0.172
H 0.545 0.881 0.172
H 0.625 0.113 0.632
H 0.625 0.387 0.632
H 0.727 0.613 0.379
H 0.727 0.887 0.379
H 0.745 0.750 0.174
C 0.356 0.250 0.651
C 0.458 0.750 0.399
C 0.542 0.250 0.601
C 0.644 0.750 0.349
Br 0.024 0.750 0.653
Br 0.050 0.750 0.105
Br 0.460 0.250 0.133
Br 0.540 0.750 0.867
Br 0.950 0.250 0.895
Br 0.976 0.250 0.347
N 0.383 0.250 0.792
N 0.617 0.750 0.208

***

No. 2
Computed PXRD pattern
Compound: ThCr6
Radiation: copper Kα
Structure: a crystal structure in Alexandria, relaxed with GGA-PBE

Peak list (6 most intense, 2θ from 10° to 90°, by angle)
two_theta  d_spacing  I/Imax
20.12  4.414  22
28.60  3.121  43
35.22  2.548  100
55.04  1.668  54
67.05  1.396  15
85.13  1.140  16

Structural model:
a b c (Å): 5.406 5.406 5.406
angles (deg): 109.47 109.47 109.47
Fractional positions:
Th 0.000 0.000 0.000
Cr 0.250 0.500 0.750
Cr 0.250 0.750 0.500
Cr 0.500 0.250 0.750
Cr 0.500 0.750 0.250
Cr 0.750 0.250 0.500
Cr 0.750 0.500 0.250

***

No. 3
Computed PXRD pattern
Compound: Sr4Sn
Radiation: copper Kα
Structure: a crystal structure in Alexandria, relaxed with GGA-PBE

Peak list (6 most intense, 2θ from 10° to 90°, by angle)
two_theta  d_spacing  I/Imax
13.70  6.465  33
19.42  4.571  30
23.84  3.732  47
27.60  3.232  100
39.42  2.286  77
64.46  1.446  36

Structural model:
a b c (Å): 6.465 6.465 6.465
angles (deg): 90.00 90.00 90.00
Fractional positions:
Sr 0.000 0.000 0.000
Sr 0.000 0.500 0.500
Sr 0.500 0.000 0.500
Sr 0.500 0.500 0.000
Sn 0.500 0.500 0.500

***

No. 4
Computed PXRD pattern
Compound: Sr2TaCoC
Radiation: copper Kα
Structure: a crystal structure in Alexandria, relaxed with GGA-PBE

Peak list (6 most intense, 2θ from 10° to 90°, by angle)
two_theta  d_spacing  I/Imax
15.64  5.666  100
30.05  2.974  74
31.58  2.833  65
35.42  2.534  28
52.38  1.747  31
55.29  1.661  27

Structural model:
a b c (Å): 5.666 5.666 4.437
angles (deg): 90.00 90.00 90.00
Fractional positions:
Sr 0.000 0.500 0.000
Sr 0.500 0.000 0.000
Ta 0.000 0.000 0.500
Co 0.000 0.000 0.000
C 0.500 0.500 0.500

***

No. 5
Computed PXRD pattern
Compound: SrI
Radiation: copper Kα
Structure: a crystal structure in Alexandria, relaxed with GGA-PBE

Peak list (6 most intense, 2θ from 10° to 90°, by angle)
two_theta  d_spacing  I/Imax
15.94  5.561  98
26.55  3.357  100
28.72  3.108  55
30.21  2.959  75
30.40  2.940  43
43.00  2.104  55

Structural model:
a b c (Å): 4.208 4.211 11.257
angles (deg): 90.00 98.88 90.00
Fractional positions:
Sr 0.186 0.250 0.348
Sr 0.814 0.750 0.652
I 0.377 0.250 0.806
I 0.623 0.750 0.194

***

No. 6
Computed PXRD pattern
Compound: Rb3Np2O5F2
Radiation: copper Kα
Structure: a crystal structure in Alexandria, relaxed with GGA-PBE

Peak list (6 most intense, 2θ from 10° to 90°, by angle)
two_theta  d_spacing  I/Imax
20.86  4.259  35
27.92  3.196  100
29.17  3.061  56
41.73  2.165  30
48.60  1.873  19
50.95  1.792  40

Structural model:
a b c (Å): 12.233 12.233 12.233
angles (deg): 159.62 159.62 28.98
Fractional positions:
Rb 0.000 0.000 0.000
Rb 0.187 0.187 0.000
Rb 0.813 0.813 0.000
Np 0.409 0.409 0.000
Np 0.591 0.591 0.000
O 0.096 0.596 0.500
O 0.404 0.904 0.500
O 0.500 0.500 0.000
O 0.596 0.096 0.500
O 0.904 0.404 0.500
F 0.308 0.308 0.000
F 0.692 0.692 0.000